Diffraction record for TbThHg4. The X-ray powder pattern is theoretical, not measured: it uses a DFT-relaxed cell (GGA-PBE, Alexandria) and Cu Kα.

Principal peaks in the range 10 to 90 degrees two-theta, in order of rising 2θ:
two_theta, I_rel, (hkl)
33.29, 70, 2 2 0
33.40, 35, 3 1 -1
35.68, 100, 2 0 -2
49.49, 12, 0 2 2
49.68, 23, 4 2 -2
62.55, 12, 1 5 1
62.70, 17, 3 5 -1
64.09, 19, 0 6 0
66.04, 11, 3 3 1
66.24, 17, 6 0 -2

Atomic structure:
Cell: 8.466 8.710 5.038 Å, 90.00 126.20 90.00°
Fractional positions:
Tb (0.000, 0.000, 0.000)
Tb (0.500, 0.500, 0.000)
Th (0.000, 0.500, 0.500)
Th (0.500, 0.000, 0.500)
Hg (0.249, 0.333, 0.249)
Hg (0.249, 0.667, 0.249)
Hg (0.251, 0.167, 0.751)
Hg (0.251, 0.833, 0.751)
Hg (0.749, 0.167, 0.249)
Hg (0.749, 0.833, 0.249)
Hg (0.751, 0.333, 0.751)
Hg (0.751, 0.667, 0.751)